1.
For Ga2PdAu3, the GGA-PBE geometry in Alexandria gives the theoretical X-ray powder pattern in this record (Cu Kα (weighted mean of Kα1 and Kα2)).
No peak broadening, texture or thermal motion is included.

The 10 most intense peaks (2θ from 15° to 90°), by intensity:
2.333 Å, 38.59°, intensity 100; 2.376 Å, 37.86°, intensity 90; 2.183 Å, 41.37°, intensity 38; 2.001 Å, 45.33°, intensity 33; 2.777 Å, 32.23°, intensity 29; 1.954 Å, 46.47°, intensity 21; 1.475 Å, 63.03°, intensity 21; 2.606 Å, 34.42°, intensity 16; 2.742 Å, 32.65°, intensity 15; 1.398 Å, 66.93°, intensity 14

Cell and atoms:
```
Ga2PdAu3
1.0
6.550 -2.001 0.000
6.550 2.001 0.000
-4.588 0.000 7.817
Ga Pd Au
4 2 6
Cartesian
-1.418 0.000 2.898
0.789 0.000 4.939
7.722 0.000 2.878
9.930 0.000 4.919
2.881 0.000 3.336
5.630 0.000 4.481
1.066 0.000 0.992
-1.267 0.000 6.768
5.451 0.000 1.217
3.061 0.000 6.600
9.778 0.000 1.050
7.446 0.000 6.825
```

=====

2.
For CaHoB12, the GGA-PBE geometry in Alexandria gives the theoretical X-ray powder pattern in this record (Cu Kα (weighted mean of Kα1 and Kα2)).
No peak broadening, texture or thermal motion is included.

The 10 most intense peaks (2θ from 15° to 90°), by intensity:
2.911 Å, 30.72°, intensity 100; 4.116 Å, 21.59°, intensity 49; 1.841 Å, 49.51°, intensity 47; 2.377 Å, 37.86°, intensity 43; 3.681 Å, 24.18°, intensity 36; 1.372 Å, 68.37°, intensity 28; 1.680 Å, 54.61°, intensity 23; 2.058 Å, 43.99°, intensity 22; 2.744 Å, 32.63°, intensity 21; 1.302 Å, 72.63°, intensity 20

Cell and atoms:
```
CaHoB12
1.0
4.115 0.000 0.000
0.000 4.115 0.000
0.000 0.000 8.236
Ca Ho B
1 1 12
Cartesian
0.000 0.000 0.000
0.000 0.000 4.118
0.823 2.058 2.075
0.823 2.058 6.161
2.058 0.823 2.075
2.058 0.823 6.161
2.058 2.058 0.832
2.058 2.058 3.304
2.058 2.058 4.933
2.058 2.058 7.405
2.058 3.292 2.075
2.058 3.292 6.161
3.292 2.058 2.075
3.292 2.058 6.161
```

=====

Please write out number 1 again, unchanged.
For Ga2PdAu3, the GGA-PBE geometry in Alexandria gives the theoretical X-ray powder pattern in this record (Cu Kα (weighted mean of Kα1 and Kα2)).
No peak broadening, texture or thermal motion is included.

The 10 most intense peaks (2θ from 15° to 90°), by intensity:
2.333 Å, 38.59°, intensity 100; 2.376 Å, 37.86°, intensity 90; 2.183 Å, 41.37°, intensity 38; 2.001 Å, 45.33°, intensity 33; 2.777 Å, 32.23°, intensity 29; 1.954 Å, 46.47°, intensity 21; 1.475 Å, 63.03°, intensity 21; 2.606 Å, 34.42°, intensity 16; 2.742 Å, 32.65°, intensity 15; 1.398 Å, 66.93°, intensity 14

Cell and atoms:
```
Ga2PdAu3
1.0
6.550 -2.001 0.000
6.550 2.001 0.000
-4.588 0.000 7.817
Ga Pd Au
4 2 6
Cartesian
-1.418 0.000 2.898
0.789 0.000 4.939
7.722 0.000 2.878
9.930 0.000 4.919
2.881 0.000 3.336
5.630 0.000 4.481
1.066 0.000 0.992
-1.267 0.000 6.768
5.451 0.000 1.217
3.061 0.000 6.600
9.778 0.000 1.050
7.446 0.000 6.825
```